NbWSe4: calculated powder diffraction line list (a wavelength of 1.5418 Å), based on a GGA-PBE-relaxed structure.
No peak broadening, texture or thermal motion is included.

The 10 most intense peaks (10° ≤ 2θ ≤ 90°), by intensity:
Position (°2θ), intensity, index
36.53, 100, 1 0 3
13.15, 79, 0 0 2
45.69, 52, 1 0 5
30.39, 40, 1 0 0
54.00, 30, 1 1 0
80.33, 18, 1 1 8
66.96, 17, 2 0 3
33.24, 16, 1 0 2
73.36, 13, 2 0 5
55.83, 12, 1 1 2

Crystal structure
Cell lengths 3.3964, 3.3964, 13.4605 Å; angles 90.00, 90.00, 120.00 degrees
Space group P-6m2 (No. 187)
One atom of each set of equivalent atoms:
Nb  0.0000  0.0000  0.0000 x1
W  0.6667  0.3333  0.5000 x1
Se  0.0000  0.0000  0.3772 x2
Se  0.6667  0.3333  0.1276 x2

---

Nb12ZnSe16: calculated powder diffraction line list (a wavelength of 1.5418 Å), based on a GGA-PBE-relaxed structure.
No peak broadening, texture or thermal motion is included.

The 10 most intense peaks (10° ≤ 2θ ≤ 90°), by intensity:
Position (°2θ), intensity, index
10.05, 100, 0 1 0
37.36, 92, 2 -1 2
32.78, 41, 2 2 -1
36.78, 38, 0 3 1
36.92, 26, 0 4 -3
44.09, 23, 2 2 1
52.50, 23, 4 0 -2
37.44, 20, 2 3 -3
27.52, 17, 2 -1 0
30.52, 16, 0 3 -3

Crystal structure
Cell lengths 6.972, 10.132, 10.746 Å; angles 118.04, 108.91, 90.04 degrees
Space group P-1 (No. 2)
One atom of each set of equivalent atoms:
Nb  0.118  0.108  0.488 x2
Nb  0.179  0.619  0.108 x2
Nb  0.185  0.511  0.619 x2
Nb  0.316  0.488  0.380 x2
Nb  0.320  0.380  0.891 x2
Nb  0.380  0.891  0.511 x2
Zn  0.500  0.000  0.000 x1
Se  0.042  0.667  0.334 x2
Se  0.045  0.281  0.341 x2
Se  0.156  0.341  0.060 x2
Se  0.235  0.060  0.720 x2
Se  0.266  0.940  0.281 x2
Se  0.345  0.660  0.940 x2
Se  0.454  0.720  0.660 x2
Se  0.459  0.333  0.667 x2

---

Nb3Si2: calculated powder diffraction line list (a wavelength of 1.5418 Å), based on a GGA-PBE-relaxed structure.
No peak broadening, texture or thermal motion is included.

The 10 most intense peaks (10° ≤ 2θ ≤ 90°), by intensity:
Position (°2θ), intensity, index
39.32, 100, 2 1 1
36.91, 74, 2 0 1
42.27, 57, 3 1 0
31.62, 34, 1 1 1
29.54, 33, 2 1 0
69.25, 25, 3 1 2
64.18, 22, 3 3 1
37.63, 21, 2 2 0
52.09, 20, 0 0 2
62.51, 19, 4 1 1

Crystal structure
Cell lengths 6.761, 6.761, 3.511 Å; angles 90.00, 90.00, 90.00 degrees
Space group P4/mbm (No. 127)
One atom of each set of equivalent atoms:
Nb  0.000  0.000  0.000 x2
Nb  0.172  0.328  0.500 x4
Si  0.128  0.628  0.000 x4

---

Nb3Si: calculated powder diffraction line list (a wavelength of 1.5418 Å), based on a GGA-PBE-relaxed structure.
No peak broadening, texture or thermal motion is included.

The 10 most intense peaks (10° ≤ 2θ ≤ 90°), by intensity:
Position (°2θ), intensity, index
35.91, 100, 2 3 1
40.10, 76, 4 1 1
36.59, 58, 1 1 2
37.12, 40, 3 3 0
32.46, 38, 3 1 1
39.21, 37, 2 4 0
42.66, 32, 2 2 2
44.99, 19, 5 1 0
64.09, 19, 5 5 0
65.45, 18, 4 1 3

Crystal structure
Cell lengths 10.274, 10.274, 5.219 Å; angles 90.00, 90.00, 90.00 degrees
Space group P4_2/n (No. 86, origin choice 2)
One atom of each set of equivalent atoms:
Nb  0.036  0.560  0.236 x8
Nb  0.104  0.234  0.023 x8
Nb  0.153  0.665  0.716 x8
Si  0.044  0.222  0.529 x8

---

Nb5Si3: calculated powder diffraction line list (a wavelength of 1.5418 Å), based on a GGA-PBE-relaxed structure.
No peak broadening, texture or thermal motion is included.

The 10 most intense peaks (10° ≤ 2θ ≤ 90°), by intensity:
Position (°2θ), intensity, index
40.88, 100, 4 1 1
36.61, 73, 3 2 1
43.57, 53, 2 2 2
39.96, 52, 4 2 0
39.54, 34, 2 0 2
27.96, 28, 3 1 0
35.13, 25, 0 0 2
26.35, 24, 2 1 1
66.93, 22, 4 1 3
65.39, 20, 5 5 0

Crystal structure
Cell lengths 10.091, 10.091, 5.109 Å; angles 90.00, 90.00, 90.00 degrees
Space group I4/mcm (No. 140)
One atom of each set of equivalent atoms:
Nb  0.000  0.500  0.250 x4
Nb  0.076  0.219  0.000 x16
Si  0.000  0.000  0.250 x4
Si  0.165  0.335  0.500 x8

---

Nb3Si: calculated powder diffraction line list (a wavelength of 1.5418 Å), based on a GGA-PBE-relaxed structure.
No peak broadening, texture or thermal motion is included.

The 10 most intense peaks (10° ≤ 2θ ≤ 90°), by intensity:
Position (°2θ), intensity, index
39.36, 100, 2 1 1
39.77, 48, 2 0 2
34.20, 32, 1 1 1
32.33, 26, 0 1 1
44.54, 24, 4 0 0
58.27, 23, 0 1 3
76.20, 19, 4 1 3
10.87, 18, 1 0 0
72.04, 16, 2 2 2
34.67, 16, 1 0 2

Crystal structure
Cell lengths 8.137, 3.214, 5.458 Å; angles 90.00, 90.00, 90.00 degrees
Space group Amm2 (No. 38)
One atom of each set of equivalent atoms:
Nb  0.000  0.000  0.000 x2
Nb  0.266  0.000  0.334 x4
Si  0.500  0.000  0.670 x2

---

Nb5Si3: calculated powder diffraction line list (a wavelength of 1.5418 Å), based on a GGA-PBE-relaxed structure.
No peak broadening, texture or thermal motion is included.

The 10 most intense peaks (10° ≤ 2θ ≤ 90°), by intensity:
Position (°2θ), intensity, index
40.10, 100, 2 1 1
41.54, 94, 1 1 2
41.24, 53, 3 0 0
36.19, 49, 2 1 0
28.94, 39, 1 1 1
36.53, 39, 1 0 2
27.16, 32, 2 0 0
67.03, 27, 4 0 2
59.97, 26, 2 2 2
64.71, 23, 2 1 3

Crystal structure
Cell lengths 7.5833, 7.5833, 5.3064 Å; angles 90.00, 90.00, 120.00 degrees
Space group P6_3/mcm (No. 193)
One atom of each set of equivalent atoms:
Nb  0.0000  0.2508  0.2500 x6
Nb  0.3333  0.6667  0.0000 x4
Si  0.0000  0.3926  0.7500 x6

---

Nb3Si: calculated powder diffraction line list (a wavelength of 1.5418 Å), based on a GGA-PBE-relaxed structure.
No peak broadening, texture or thermal motion is included.

The 10 most intense peaks (10° ≤ 2θ ≤ 90°), by intensity:
Position (°2θ), intensity, index
35.78, 100, 3 2 1
39.92, 95, 1 4 1
36.88, 88, 3 3 0
38.92, 49, 4 2 0
44.66, 32, 1 5 0
63.57, 31, 5 5 0
42.85, 27, 2 2 2
62.91, 24, 3 2 3
31.17, 23, 3 0 1
65.75, 20, 1 4 3

Crystal structure
Cell lengths 10.353, 10.353, 5.166 Å; angles 90.00, 90.00, 90.00 degrees
Space group I-4 (No. 82)
One atom of each set of equivalent atoms:
Nb  0.018  0.143  0.235 x8
Nb  0.082  0.599  0.011 x8
Nb  0.188  0.717  0.498 x8
Si  0.031  0.208  0.730 x8

---

Nb3Si: calculated powder diffraction line list (a wavelength of 1.5418 Å), based on a GGA-PBE-relaxed structure.
No peak broadening, texture or thermal motion is included.

The 10 most intense peaks (10° ≤ 2θ ≤ 90°), by intensity:
Position (°2θ), intensity, index
38.17, 100, 1 1 1
44.36, 48, 2 0 0
77.52, 36, 3 1 1
64.54, 31, 2 2 0
21.76, 14, 1 0 0
30.97, 12, 1 1 0
81.68, 10, 2 2 2
49.94, 6, 2 1 0
55.08, 5, 2 1 1
68.99, 3, 3 0 0

Crystal structure
Cell lengths 4.084, 4.084, 4.084 Å; angles 90.00, 90.00, 90.00 degrees
Space group Pm-3m (No. 221)
One atom of each set of equivalent atoms:
Nb  0.000  0.000  0.500 x3
Si  0.500  0.500  0.500 x1

---

Nb3Si: calculated powder diffraction line list (a wavelength of 1.5418 Å), based on a GGA-PBE-relaxed structure.
No peak broadening, texture or thermal motion is included.

The 10 most intense peaks (10° ≤ 2θ ≤ 90°), by intensity:
Position (°2θ), intensity, index
39.29, 100, 2 1 0
43.22, 32, 2 1 1
24.55, 21, 1 1 0
65.65, 21, 3 2 0
87.09, 19, 4 2 1
68.46, 16, 3 2 1
62.77, 15, 2 2 2
35.00, 15, 2 0 0
73.93, 10, 4 0 0
84.49, 4, 4 2 0

Crystal structure
Cell lengths 5.128, 5.128, 5.128 Å; angles 90.00, 90.00, 90.00 degrees
Space group Pm-3n (No. 223)
One atom of each set of equivalent atoms:
Nb  0.000  0.250  0.500 x6
Si  0.000  0.000  0.000 x2

---

Nb5Si3: calculated powder diffraction line list (a wavelength of 1.5418 Å), based on a GGA-PBE-relaxed structure.
No peak broadening, texture or thermal motion is included.

The 10 most intense peaks (10° ≤ 2θ ≤ 90°), by intensity:
Position (°2θ), intensity, index
37.88, 100, 2 1 3
43.25, 42, 3 1 0
40.69, 32, 2 0 4
31.14, 29, 2 1 1
35.65, 19, 1 1 4
62.83, 18, 2 1 7
62.39, 17, 4 1 3
67.79, 14, 3 3 4
45.52, 14, 0 0 6
30.90, 13, 2 0 2

Crystal structure
Cell lengths 6.615, 6.615, 11.955 Å; angles 90.00, 90.00, 90.00 degrees
Space group I4/mcm (No. 140)
One atom of each set of equivalent atoms:
Nb  0.000  0.000  0.000 x4
Nb  0.166  0.334  0.149 x16
Si  0.000  0.000  0.250 x4
Si  0.129  0.371  0.500 x8

---

Nb3Si: calculated powder diffraction line list (a wavelength of 1.5418 Å), based on a GGA-PBE-relaxed structure.
No peak broadening, texture or thermal motion is included.

The 10 most intense peaks (10° ≤ 2θ ≤ 90°), by intensity:
Position (°2θ), intensity, index
38.65, 100, 1 1 2
38.49, 27, 0 2 0
69.73, 17, 1 3 2
42.30, 17, 0 0 4
33.92, 13, 1 1 1
58.51, 12, 0 2 4
53.03, 10, 2 0 0
31.40, 10, 0 0 3
67.41, 10, 2 2 0
74.91, 9, 1 1 6

Crystal structure
Cell lengths 3.454, 4.678, 8.547 Å; angles 90.00, 90.00, 90.00 degrees
Space group Cmmm (No. 65)
One atom of each set of equivalent atoms:
Nb  0.000  0.000  0.000 x2
Nb  0.000  0.500  0.273 x4
Si  0.000  0.000  0.500 x2